Entry 1:
Cr3N2: simulated X-ray powder pattern (Cu Kα (weighted mean of Kα1 and Kα2)), based on a PBE-relaxed structure.
No peak broadening, texture or thermal motion is included.

Principal peaks in the range 15 to 90 degrees two-theta, by angle:
- 2θ 25.1, d = 3.548 Å, I 3
- 2θ 37.8, d = 2.381 Å, I 23
- 2θ 38.1, d = 2.360 Å, I 11
- 2θ 42.8, d = 2.115 Å, I 100
- 2θ 54.8, d = 1.676 Å, I 24
- 2θ 68.9, d = 1.363 Å, I 17
- 2θ 71.6, d = 1.317 Å, I 18
- 2θ 80.7, d = 1.191 Å, I 3
- 2θ 81.4, d = 1.183 Å, I 12
- 2θ 84.6, d = 1.146 Å, I 11

Structure:
a b c (Å): 5.488 5.488 5.488
angles (deg): 50.95 50.95 50.95
Element x y z (fractional)
Cr  0.075  0.750  0.425
Cr  0.250  0.575  0.925
Cr  0.425  0.075  0.750
Cr  0.575  0.925  0.250
Cr  0.750  0.425  0.075
Cr  0.925  0.250  0.575
N  0.159  0.159  0.159
N  0.341  0.341  0.341
N  0.659  0.659  0.659
N  0.841  0.841  0.841

=====

Entry 2:
Cr3N2: simulated X-ray powder pattern (Cu Kα (weighted mean of Kα1 and Kα2)), based on a PBE-relaxed structure.
No peak broadening, texture or thermal motion is included.

Principal peaks in the range 15 to 90 degrees two-theta, by angle:
- 2θ 23.8, d = 3.734 Å, I 11
- 2θ 33.9, d = 2.641 Å, I 9
- 2θ 36.8, d = 2.445 Å, I 100
- 2θ 39.4, d = 2.287 Å, I 85
- 2θ 46.6, d = 1.950 Å, I 74
- 2θ 55.0, d = 1.670 Å, I 13
- 2θ 56.9, d = 1.617 Å, I 66
- 2θ 66.2, d = 1.411 Å, I 10
- 2θ 76.5, d = 1.245 Å, I 41
- 2θ 83.2, d = 1.162 Å, I 29

Structure:
a b c (Å): 7.922 7.922 7.922
angles (deg): 109.47 109.47 109.47
Element x y z (fractional)
Cr  0.008  0.455  0.731
Cr  0.045  0.053  0.276
Cr  0.053  0.276  0.045
Cr  0.223  0.447  0.492
Cr  0.224  0.277  0.769
Cr  0.231  0.776  0.723
Cr  0.269  0.992  0.545
Cr  0.276  0.045  0.053
Cr  0.277  0.769  0.224
Cr  0.447  0.492  0.223
Cr  0.455  0.731  0.008
Cr  0.492  0.223  0.447
Cr  0.508  0.777  0.553
Cr  0.545  0.269  0.992
Cr  0.553  0.508  0.777
Cr  0.723  0.231  0.776
Cr  0.724  0.955  0.947
Cr  0.731  0.008  0.455
Cr  0.769  0.224  0.277
Cr  0.776  0.723  0.231
Cr  0.777  0.553  0.508
Cr  0.947  0.724  0.955
Cr  0.955  0.947  0.724
Cr  0.992  0.545  0.269
N  0.000  0.000  0.000
N  0.000  0.500  0.500
N  0.044  0.794  0.250
N  0.206  0.750  0.956
N  0.250  0.044  0.794
N  0.250  0.544  0.294
N  0.294  0.250  0.544
N  0.456  0.706  0.750
N  0.500  0.000  0.500
N  0.500  0.500  0.000
N  0.544  0.294  0.250
N  0.706  0.750  0.456
N  0.750  0.456  0.706
N  0.750  0.956  0.206
N  0.794  0.250  0.044
N  0.956  0.206  0.750

=====

Entry 3:
Cr3N2: simulated X-ray powder pattern (Cu Kα (weighted mean of Kα1 and Kα2)), based on a PBE-relaxed structure.
No peak broadening, texture or thermal motion is included.

Principal peaks in the range 15 to 90 degrees two-theta, by angle:
- 2θ 23.8, d = 3.734 Å, I 10
- 2θ 34.0, d = 2.640 Å, I 9
- 2θ 36.8, d = 2.445 Å, I 100
- 2θ 39.4, d = 2.287 Å, I 84
- 2θ 46.6, d = 1.950 Å, I 74
- 2θ 55.0, d = 1.670 Å, I 13
- 2θ 56.9, d = 1.617 Å, I 64
- 2θ 66.2, d = 1.411 Å, I 10
- 2θ 76.5, d = 1.245 Å, I 41
- 2θ 83.2, d = 1.162 Å, I 29

Structure:
a b c (Å): 7.921 7.921 7.921
angles (deg): 109.47 109.47 109.47
Element x y z (fractional)
Cr  0.008  0.457  0.735
Cr  0.043  0.052  0.278
Cr  0.052  0.278  0.043
Cr  0.222  0.273  0.765
Cr  0.227  0.448  0.492
Cr  0.228  0.774  0.719
Cr  0.272  0.991  0.546
Cr  0.273  0.765  0.222
Cr  0.278  0.043  0.052
Cr  0.448  0.492  0.227
Cr  0.457  0.735  0.008
Cr  0.492  0.227  0.448
Cr  0.509  0.781  0.555
Cr  0.546  0.272  0.991
Cr  0.555  0.509  0.781
Cr  0.719  0.228  0.774
Cr  0.726  0.954  0.945
Cr  0.735  0.008  0.457
Cr  0.765  0.222  0.273
Cr  0.774  0.719  0.228
Cr  0.781  0.555  0.509
Cr  0.945  0.726  0.954
Cr  0.954  0.945  0.726
Cr  0.991  0.546  0.272
N  0.000  0.496  0.500
N  0.004  0.004  0.004
N  0.045  0.795  0.250
N  0.206  0.750  0.956
N  0.250  0.045  0.795
N  0.250  0.544  0.294
N  0.294  0.250  0.544
N  0.455  0.705  0.750
N  0.496  0.500  0.000
N  0.500  0.000  0.496
N  0.544  0.294  0.250
N  0.705  0.750  0.455
N  0.750  0.455  0.705
N  0.750  0.956  0.206
N  0.795  0.250  0.045
N  0.956  0.206  0.750

=====

Entry 4:
Cr3N4: simulated X-ray powder pattern (Cu Kα (weighted mean of Kα1 and Kα2)), based on a PBE-relaxed structure.
No peak broadening, texture or thermal motion is included.

Principal peaks in the range 15 to 90 degrees two-theta, by angle:
- 2θ 19.3, d = 4.591 Å, I 89
- 2θ 21.7, d = 4.088 Å, I 37
- 2θ 29.3, d = 3.053 Å, I 91
- 2θ 32.3, d = 2.774 Å, I 100
- 2θ 33.5, d = 2.676 Å, I 95
- 2θ 36.7, d = 2.446 Å, I 75
- 2θ 39.2, d = 2.295 Å, I 60
- 2θ 41.1, d = 2.198 Å, I 60
- 2θ 58.9, d = 1.569 Å, I 34
- 2θ 65.2, d = 1.430 Å, I 35

Structure:
a b c (Å): 8.176 8.176 6.030
angles (deg): 90.00 90.00 120.00
Element x y z (fractional)
Cr  0.082  0.568  0.000
Cr  0.087  0.254  0.730
Cr  0.167  0.913  0.730
Cr  0.254  0.087  0.230
Cr  0.432  0.514  0.000
Cr  0.486  0.918  0.000
Cr  0.514  0.432  0.500
Cr  0.568  0.082  0.500
Cr  0.746  0.833  0.730
Cr  0.833  0.746  0.230
Cr  0.913  0.167  0.230
Cr  0.918  0.486  0.500
N  0.000  0.000  0.228
N  0.000  0.000  0.728
N  0.002  0.315  0.479
N  0.045  0.653  0.732
N  0.313  0.998  0.479
N  0.315  0.002  0.979
N  0.333  0.667  0.065
N  0.347  0.392  0.732
N  0.392  0.347  0.232
N  0.608  0.955  0.732
N  0.653  0.045  0.232
N  0.667  0.333  0.565
N  0.685  0.687  0.479
N  0.687  0.685  0.979
N  0.955  0.608  0.232
N  0.998  0.313  0.979

=====

Entry 5:
Cr3N4: simulated X-ray powder pattern (Cu Kα (weighted mean of Kα1 and Kα2)), based on a PBE-relaxed structure.
No peak broadening, texture or thermal motion is included.

Principal peaks in the range 15 to 90 degrees two-theta, by angle:
- 2θ 18.9, d = 4.702 Å, I 75
- 2θ 23.2, d = 3.836 Å, I 20
- 2θ 30.0, d = 2.974 Å, I 74
- 2θ 35.7, d = 2.512 Å, I 100
- 2θ 38.3, d = 2.350 Å, I 78
- 2θ 45.2, d = 2.004 Å, I 25
- 2θ 55.2, d = 1.663 Å, I 50
- 2θ 62.5, d = 1.486 Å, I 18
- 2θ 65.9, d = 1.417 Å, I 19
- 2θ 67.5, d = 1.387 Å, I 26

Structure:
a b c (Å): 7.672 7.672 6.655
angles (deg): 90.00 90.00 120.00
Element x y z (fractional)
Cr  0.045  0.804  0.000
Cr  0.100  0.464  0.255
Cr  0.196  0.241  0.000
Cr  0.241  0.196  0.500
Cr  0.364  0.900  0.255
Cr  0.464  0.100  0.755
Cr  0.536  0.636  0.255
Cr  0.636  0.536  0.755
Cr  0.759  0.955  0.000
Cr  0.804  0.045  0.500
Cr  0.900  0.364  0.755
Cr  0.955  0.759  0.500
N  0.000  0.000  0.154
N  0.000  0.000  0.348
N  0.000  0.000  0.654
N  0.000  0.000  0.848
N  0.046  0.368  0.987
N  0.080  0.697  0.270
N  0.303  0.383  0.270
N  0.323  0.954  0.987
N  0.368  0.046  0.487
N  0.383  0.303  0.770
N  0.617  0.920  0.270
N  0.632  0.677  0.987
N  0.677  0.632  0.487
N  0.697  0.080  0.770
N  0.920  0.617  0.770
N  0.954  0.323  0.487

=====

Entry 6:
CrN: simulated X-ray powder pattern (Cu Kα (weighted mean of Kα1 and Kα2)), based on a PBE-relaxed structure.
No peak broadening, texture or thermal motion is included.

Principal peaks in the range 15 to 90 degrees two-theta, by angle:
- 2θ 21.5, d = 4.135 Å, I 2
- 2θ 37.6, d = 2.392 Å, I 100
- 2θ 43.7, d = 2.073 Å, I 86
- 2θ 43.8, d = 2.067 Å, I 40
- 2θ 54.3, d = 1.690 Å, I 5
- 2θ 63.4, d = 1.466 Å, I 24
- 2θ 63.6, d = 1.464 Å, I 44
- 2θ 76.2, d = 1.250 Å, I 23
- 2θ 76.3, d = 1.247 Å, I 10
- 2θ 80.3, d = 1.196 Å, I 21

Structure:
a b c (Å): 2.932 2.932 4.135
angles (deg): 90.00 90.00 90.00
Element x y z (fractional)
Cr  0.250  0.250  0.230
Cr  0.750  0.750  0.770
N  0.250  0.250  0.735
N  0.750  0.750  0.265

=====

Entry 7:
Cr3N4: simulated X-ray powder pattern (Cu Kα (weighted mean of Kα1 and Kα2)), based on a PBE-relaxed structure.
No peak broadening, texture or thermal motion is included.

Principal peaks in the range 15 to 90 degrees two-theta, by angle:
- 2θ 32.2, d = 2.777 Å, I 100
- 2θ 42.0, d = 2.151 Å, I 16
- 2θ 50.2, d = 1.818 Å, I 17
- 2θ 53.9, d = 1.701 Å, I 4
- 2θ 60.9, d = 1.521 Å, I 16
- 2θ 64.2, d = 1.450 Å, I 14
- 2θ 67.4, d = 1.389 Å, I 6
- 2θ 70.6, d = 1.334 Å, I 14
- 2θ 76.7, d = 1.242 Å, I 3
- 2θ 88.6, d = 1.104 Å, I 11

Structure:
a b c (Å): 5.891 5.891 5.891
angles (deg): 109.47 109.47 109.47
Element x y z (fractional)
Cr  0.125  0.750  0.875
Cr  0.250  0.625  0.375
Cr  0.375  0.250  0.625
Cr  0.625  0.375  0.250
Cr  0.750  0.875  0.125
Cr  0.875  0.125  0.750
N  0.000  0.062  0.500
N  0.000  0.562  0.500
N  0.062  0.500  0.000
N  0.438  0.438  0.438
N  0.500  0.000  0.062
N  0.500  0.000  0.562
N  0.562  0.500  0.000
N  0.938  0.938  0.938

=====

Entry 8:
CrN: simulated X-ray powder pattern (Cu Kα (weighted mean of Kα1 and Kα2)), based on a PBE-relaxed structure.
No peak broadening, texture or thermal motion is included.

Principal peaks in the range 15 to 90 degrees two-theta, by angle:
- 2θ 34.5, d = 2.600 Å, I 28
- 2θ 38.8, d = 2.323 Å, I 87
- 2θ 52.8, d = 1.732 Å, I 100
- 2θ 70.2, d = 1.341 Å, I 22
- 2θ 72.7, d = 1.300 Å, I 6
- 2θ 80.6, d = 1.192 Å, I 13
- 2θ 83.2, d = 1.162 Å, I 8
- 2θ 85.6, d = 1.135 Å, I 14

Structure:
a b c (Å): 2.683 2.683 2.600
angles (deg): 90.00 90.00 120.00
Element x y z (fractional)
Cr  0.000  0.000  0.000
N  0.667  0.333  0.500